Simulated powder diffraction line list of AcCd4Sn2 for Cu Kα, from a cell relaxed with GGA-PBE.

Crystal structure
```
data_AcCd4Sn2
_chemical_formula_sum 'Ac2 Cd8 Sn4'
_cell_length_a 8.875
_cell_length_b 8.875
_cell_length_c 4.800
_cell_angle_alpha 90.00
_cell_angle_beta 90.00
_cell_angle_gamma 90.00
_symmetry_space_group_name_H-M 'P 42/m n m'
_symmetry_Int_Tables_number 136
_symmetry_space_group_name_Hall '-P 4n 2n'
loop_
_atom_site_label
_atom_site_type_symbol
_atom_site_fract_x
_atom_site_fract_y
_atom_site_fract_z
_atom_site_occupancy
Ac1 Ac 0.000 0.000 0.000 1
Cd1 Cd 0.093 0.350 0.500 1
Sn1 Sn 0.207 0.793 0.500 1
```

Top 10 peaks for 2θ = 5–70°, in order of rising 2θ:
28.4°, I 21, hkl 2 2 0
29.2°, I 100, hkl 2 1 1
31.9°, I 38, hkl 3 1 0
34.1°, I 48, hkl 2 2 1
37.1°, I 51, hkl 3 1 1
37.5°, I 36, hkl 0 0 2
42.0°, I 22, hkl 4 1 0
50.0°, I 21, hkl 3 1 2
55.2°, I 22, hkl 4 3 1
57.5°, I 17, hkl 4 1 2

Simulated powder diffraction line list of Ac5Cd2Sn2 for Cu Kα, from a cell relaxed with GGA-PBE.

Crystal structure
```
data_Ac5Cd2Sn2
_chemical_formula_sum 'Ac20 Cd8 Sn8'
_cell_length_a 17.592
_cell_length_b 8.738
_cell_length_c 8.777
_cell_angle_alpha 90.00
_cell_angle_beta 90.00
_cell_angle_gamma 90.00
_symmetry_space_group_name_H-M 'C m c e'
_symmetry_Int_Tables_number 64
_symmetry_space_group_name_Hall '-C 2ac 2'
loop_
_atom_site_label
_atom_site_type_symbol
_atom_site_fract_x
_atom_site_fract_y
_atom_site_fract_z
_atom_site_occupancy
Ac1 Ac 0.000 0.000 0.000 1
Ac2 Ac 0.144 0.173 0.331 1
Cd1 Cd 0.000 0.121 0.622 1
Sn1 Sn 0.203 0.000 0.000 1
```

Top 10 peaks for 2θ = 5–70°, in order of rising 2θ:
22.7°, I 29, hkl 0 2 1
24.9°, I 17, hkl 2 2 1
27.4°, I 80, hkl 3 1 2
28.8°, I 100, hkl 4 2 0
30.6°, I 85, hkl 6 0 0
32.7°, I 38, hkl 1 1 3
32.8°, I 38, hkl 1 3 1
41.5°, I 23, hkl 5 1 3
42.7°, I 23, hkl 0 4 1
46.6°, I 18, hkl 3 3 3

Simulated powder diffraction line list of Ac6Cd5Sn for Cu Kα, from a cell relaxed with GGA-PBE.

Crystal structure
```
data_Ac6Cd5Sn
_chemical_formula_sum 'Ac12 Cd10 Sn2'
_cell_length_a 9.965
_cell_length_b 17.361
_cell_length_c 5.788
_cell_angle_alpha 90.00
_cell_angle_beta 125.46
_cell_angle_gamma 90.00
_symmetry_space_group_name_H-M 'C 1 2/m 1'
_symmetry_Int_Tables_number 12
loop_
_symmetry_equiv_pos_as_xyz
'x,y,z'
'-x,-y,-z'
'-x,y,-z'
'x,-y,z'
'x+1/2,y+1/2,z'
'-x+1/2,-y+1/2,-z'
'-x+1/2,y+1/2,-z'
'x+1/2,-y+1/2,z'
loop_
_atom_site_label
_atom_site_type_symbol
_atom_site_fract_x
_atom_site_fract_y
_atom_site_fract_z
_atom_site_occupancy
Ac1 Ac 0.245 0.000 0.245 1
Ac2 Ac 0.247 0.165 0.747 1
Cd1 Cd 0.000 0.172 0.000 1
Cd2 Cd 0.000 0.333 0.500 1
Cd3 Cd 0.000 0.500 0.000 1
Sn1 Sn 0.000 0.000 0.500 1
```

Top 10 peaks for 2θ = 5–70°, in order of rising 2θ:
21.7°, I 11, hkl 1 3 -1
30.9°, I 51, hkl 2 0 -2
31.0°, I 100, hkl 1 3 1
38.2°, I 6, hkl 2 6 0
44.3°, I 19, hkl 2 6 -2
44.7°, I 9, hkl 4 0 0
55.0°, I 40, hkl 5 3 -3
55.3°, I 20, hkl 2 0 2
64.4°, I 6, hkl 4 0 -4
64.7°, I 12, hkl 2 6 2

Simulated powder diffraction line list of AcCd12Sn6 for Cu Kα, from a cell relaxed with GGA-PBE.

Crystal structure
```
data_AcCd12Sn6
_chemical_formula_sum 'Ac3 Cd36 Sn18'
_cell_length_a 13.7596
_cell_length_b 13.7596
_cell_length_c 9.4871
_cell_angle_alpha 90.00
_cell_angle_beta 90.00
_cell_angle_gamma 120.00
_symmetry_space_group_name_H-M 'R -3 m'
_symmetry_Int_Tables_number 166
_symmetry_space_group_name_Hall '-R 3 2"'
loop_
_atom_site_label
_atom_site_type_symbol
_atom_site_fract_x
_atom_site_fract_y
_atom_site_fract_z
_atom_site_occupancy
Ac1 Ac 0.0000 0.0000 0.0000 1
Cd1 Cd 0.0000 0.3983 0.5000 1
Cd2 Cd 0.0731 0.1462 0.3293 1
Sn1 Sn 0.0094 0.5047 0.2121 1
```

Top 10 peaks for 2θ = 5–70°, in order of rising 2θ:
25.9°, I 37, hkl 2 2 0
28.6°, I 96, hkl 1 3 1
31.1°, I 100, hkl 1 1 3
33.0°, I 30, hkl 3 1 2
35.6°, I 27, hkl 0 4 2
38.0°, I 39, hkl 2 3 2
41.2°, I 46, hkl 2 4 1
42.4°, I 63, hkl 5 0 2
64.2°, I 27, hkl 4 2 5
69.3°, I 26, hkl 3 6 3